Diffraction record for NaCeH2S2O9. The powder XRD pattern is calculated, not measured: it uses a GGA-PBE-relaxed structure and copper Kα.

```
data_NaCeH2S2O9
_symmetry_space_group_name_H-M 'P 32'
_symmetry_Int_Tables_number 145
_symmetry_space_group_name_Hall 'P 32'
_cell_length_a 7.0610
_cell_length_b 7.0610
_cell_length_c 13.0412
_cell_angle_alpha 90.00
_cell_angle_beta 90.00
_cell_angle_gamma 120.00
loop_
_atom_site_label
_atom_site_type_symbol
_atom_site_fract_x
_atom_site_fract_y
_atom_site_fract_z
Na1 Na 0.1387 0.3397 0.0000
Ce1 Ce 0.0873 0.3205 0.4984
H1 H 0.5663 0.3106 0.0898
H2 H 0.5845 0.2408 0.4959
S1 S 0.1114 0.3230 0.2544
S2 S 0.1126 0.3513 0.7436
O1 O 0.0312 0.8496 0.6599
O2 O 0.0694 0.8591 0.1529
O3 O 0.0761 0.4752 0.3206
O4 O 0.0913 0.5201 0.8014
O5 O 0.1461 0.7012 0.5173
O6 O 0.1521 0.7027 0.0024
O7 O 0.2750 0.0870 0.5235
O8 O 0.3099 0.0905 0.0135
O9 O 0.5824 0.2666 0.8007
```

Principal peaks in the range 10 to 90 degrees two-theta, low angle first:
- 6.115 Å, 2θ = 14.49°, intensity 48
- 5.537 Å, 2θ = 16.01°, intensity 100
- 3.531 Å, 2θ = 25.22°, intensity 53
- 3.057 Å, 2θ = 29.21°, intensity 61
- 2.877 Å, 2θ = 31.09°, intensity 75
- 2.177 Å, 2θ = 41.47°, intensity 37
- 1.886 Å, 2θ = 48.27°, intensity 47
- 1.729 Å, 2θ = 52.96°, intensity 24